[1]
TbSmSbO2: theoretical X-ray diffraction stick pattern (Cu Kα), based on the PBE geometry in Alexandria.
Kinematic intensities with the Lorentz-polarization factor, no thermal factor.

Structural model:
Lattice parameters (Å, degrees): 3.9101 3.9101 13.5485 90.00 90.00 90.00
Space group I4mm (No. 107)
Unique sites:
Tb: 0.0000 0.0000 0.0000 [2 per cell]
Sm: 0.0000 0.0000 0.6702 [2 per cell]
Sb: 0.0000 0.0000 0.3358 [2 per cell]
O: 0.0000 0.5000 0.0818 [4 per cell]

Peak list (8 most intense, 2θ = 10–90°, low angle first)
| 2θ/deg | I_rel | (hkl) |
| --- | --- | --- |
| 30.23 | 100.0 | 1 0 3 |
| 32.38 | 35.4 | 1 1 0 |
| 46.45 | 17.5 | 2 0 0 |
| 52.31 | 24.4 | 1 1 6 |
| 56.43 | 34.2 | 2 1 3 |
| 62.88 | 10.9 | 2 0 6 |
| 66.56 | 10.3 | 1 0 9 |
| 85.02 | 10.7 | 2 1 9 |

---

[2]
Ac2HoAgTe5: theoretical X-ray diffraction stick pattern (Cu Kα), based on the PBE geometry in Alexandria.
Kinematic intensities with the Lorentz-polarization factor, no thermal factor.

Structural model:
Lattice parameters (Å, degrees): 4.5414 19.4845 13.5270 90.00 90.00 90.00
Space group Cmc2_1 (No. 36)
Unique sites:
Ac: 0.0000 0.1116 0.0000 [4 per cell]
Ac: 0.0000 0.1250 0.6206 [4 per cell]
Ho: 0.0000 0.1918 0.3224 [4 per cell]
Ag: 0.0000 0.4312 0.7696 [4 per cell]
Te: 0.0000 0.0452 0.3812 [4 per cell]
Te: 0.0000 0.2876 0.9766 [4 per cell]
Te: 0.0000 0.3043 0.6610 [4 per cell]
Te: 0.0000 0.3531 0.3135 [4 per cell]
Te: 0.0000 0.4990 0.0896 [4 per cell]

Peak list (8 most intense, 2θ = 10–90°, low angle first)
| 2θ/deg | I_rel | (hkl) |
| --- | --- | --- |
| 21.72 | 13.4 | 0 2 3 |
| 28.26 | 100.0 | 1 1 3 |
| 30.22 | 12.3 | 1 5 0 |
| 33.06 | 43.8 | 1 5 2 |
| 36.33 | 12.7 | 1 5 3 |
| 38.48 | 12.4 | 0 6 4 |
| 39.69 | 23.7 | 2 0 0 |
| 49.44 | 12.4 | 2 6 1 |

---

[3]
TbThIn3: theoretical X-ray diffraction stick pattern (Cu Kα), based on the PBE geometry in Alexandria.
Kinematic intensities with the Lorentz-polarization factor, no thermal factor.

Structural model:
Lattice parameters (Å, degrees): 5.9110 5.9110 22.6226 90.00 90.00 90.00
Space group I-4m2 (No. 119)
Unique sites:
Tb: 0.0000 0.0000 0.0802 [4 per cell]
Th: 0.0000 0.0000 0.5000 [2 per cell]
Th: 0.0000 0.5000 0.7500 [2 per cell]
In: 0.0000 0.2472 0.6276 [8 per cell]
In: 0.0000 0.5000 0.0111 [4 per cell]

Peak list (8 most intense, 2θ = 10–90°, low angle first)
| 2θ/deg | I_rel | (hkl) |
| --- | --- | --- |
| 15.49 | 89.1 | 1 0 1 |
| 22.68 | 35.1 | 1 1 2 |
| 30.24 | 59.7 | 2 0 0 |
| 31.28 | 42.1 | 2 0 2 |
| 31.57 | 100.0 | 0 0 8 |
| 36.00 | 49.7 | 2 1 3 |
| 39.48 | 59.0 | 2 1 5 |
| 46.31 | 43.4 | 2 2 4 |

---

[4]
Tm4Al3Hg: theoretical X-ray diffraction stick pattern (Cu Kα), based on the PBE geometry in Alexandria.
Kinematic intensities with the Lorentz-polarization factor, no thermal factor.

Structural model:
Lattice parameters (Å, degrees): 3.5389 3.5389 14.6818 90.00 90.00 90.00
Space group P4/mmm (No. 123)
Unique sites:
Tm: 0.0000 0.0000 0.1207 [2 per cell]
Tm: 0.0000 0.0000 0.3645 [2 per cell]
Al: 0.5000 0.5000 0.0000 [1 per cell]
Al: 0.5000 0.5000 0.2430 [2 per cell]
Hg: 0.5000 0.5000 0.5000 [1 per cell]

Peak list (8 most intense, 2θ = 10–90°, low angle first)
| 2θ/deg | I_rel | (hkl) |
| --- | --- | --- |
| 24.25 | 10.4 | 0 0 4 |
| 25.16 | 20.3 | 1 0 0 |
| 35.23 | 100.0 | 1 0 4 |
| 35.89 | 49.0 | 1 1 0 |
| 51.66 | 17.5 | 2 0 0 |
| 62.78 | 20.3 | 1 1 8 |
| 64.07 | 35.6 | 2 1 4 |
| 74.49 | 10.5 | 2 0 8 |

---

[5]
ZnBi: theoretical X-ray diffraction stick pattern (Cu Kα), based on the PBE geometry in Alexandria.
Kinematic intensities with the Lorentz-polarization factor, no thermal factor.

Structural model:
Lattice parameters (Å, degrees): 6.5233 8.1251 8.4742 90.00 90.00 90.00
Space group Pbca (No. 61)
Unique sites:
Zn: 0.0421 0.1017 0.1224 [8 per cell]
Bi: 0.1424 0.5889 0.8858 [8 per cell]

Peak list (8 most intense, 2θ = 10–90°, low angle first)
| 2θ/deg | I_rel | (hkl) |
| --- | --- | --- |
| 25.06 | 86.4 | 1 0 2 |
| 27.39 | 84.9 | 1 1 2 |
| 27.93 | 100.0 | 1 2 1 |
| 31.38 | 88.2 | 2 1 1 |
| 41.94 | 85.0 | 1 3 2 |
| 42.68 | 40.1 | 0 0 4 |
| 43.84 | 55.1 | 2 1 3 |
| 44.43 | 42.6 | 3 1 1 |

---

[6]
TbNdEr2: theoretical X-ray diffraction stick pattern (Cu Kα), based on the PBE geometry in Alexandria.
Kinematic intensities with the Lorentz-polarization factor, no thermal factor.

Structural model:
Lattice parameters (Å, degrees): 3.5773 3.5773 11.4861 90.00 90.00 120.00
Space group P-3m1 (No. 164)
Unique sites:
Tb: 0.0000 0.0000 0.0000 [1 per cell]
Nd: 0.0000 0.0000 0.5000 [1 per cell]
Er: 0.3333 0.6667 0.7527 [2 per cell]

Peak list (8 most intense, 2θ = 10–90°, low angle first)
| 2θ/deg | I_rel | (hkl) |
| --- | --- | --- |
| 29.87 | 48.1 | 1 0 1 |
| 31.15 | 35.0 | 0 0 4 |
| 32.85 | 100.0 | 1 0 2 |
| 37.34 | 26.7 | 0 1 3 |
| 51.06 | 26.6 | 1 1 0 |
| 56.51 | 21.4 | 1 0 6 |
| 61.03 | 31.1 | 1 1 4 |
| 87.03 | 16.7 | 1 1 8 |

---

[7]
Ag2BPdO4: theoretical X-ray diffraction stick pattern (Cu Kα), based on the PBE geometry in Alexandria.
Kinematic intensities with the Lorentz-polarization factor, no thermal factor.

Structural model:
Lattice parameters (Å, degrees): 7.8872 5.9059 5.5278 90.00 133.86 90.00
Space group C2 (No. 5)
Unique sites:
Ag: 0.0000 0.0000 0.0000 [2 per cell]
Ag: 0.0000 0.2814 0.5000 [2 per cell]
B: 0.0000 0.7791 0.5000 [2 per cell]
Pd: 0.0000 0.4815 0.0000 [2 per cell]
O: 0.1349 0.6368 0.4622 [4 per cell]
O: 0.1659 0.9352 0.7955 [4 per cell]

Peak list (8 most intense, 2θ = 10–90°, low angle first)
| 2θ/deg | I_rel | (hkl) |
| --- | --- | --- |
| 21.69 | 29.3 | 1 1 0 |
| 31.46 | 74.3 | 2 0 0 |
| 32.39 | 68.6 | 2 0 -2 |
| 37.92 | 100.0 | 0 2 1 |
| 38.08 | 82.2 | 2 2 -1 |
| 45.51 | 29.5 | 0 0 2 |
| 46.05 | 29.0 | 4 0 -2 |
| 61.69 | 25.1 | 4 2 -3 |

---

[8]
P2Se5: theoretical X-ray diffraction stick pattern (Cu Kα), based on the PBE geometry in Alexandria.
Kinematic intensities with the Lorentz-polarization factor, no thermal factor.

Structural model:
Lattice parameters (Å, degrees): 7.1992 22.1260 6.1419 90.00 114.03 90.00
Space group P2_1/c (No. 14)
Unique sites:
P: 0.2184 0.0517 0.3032 [4 per cell]
P: 0.2241 0.1642 0.6806 [4 per cell]
Se: 0.0542 0.6869 0.1550 [4 per cell]
Se: 0.0617 0.6051 0.4233 [4 per cell]
Se: 0.2227 0.0611 0.6744 [4 per cell]
Se: 0.4990 0.1041 0.3388 [4 per cell]
Se: 0.4992 0.1859 0.6042 [4 per cell]

Peak list (8 most intense, 2θ = 10–90°, low angle first)
| 2θ/deg | I_rel | (hkl) |
| --- | --- | --- |
| 16.02 | 72.0 | 0 4 0 |
| 17.96 | 46.7 | 1 2 -1 |
| 25.03 | 53.0 | 1 1 1 |
| 26.49 | 67.0 | 2 2 -1 |
| 29.58 | 53.1 | 1 4 1 |
| 31.58 | 100.0 | 1 3 -2 |
| 49.68 | 46.1 | 2 10 0 |
| 50.23 | 49.8 | 3 7 -2 |

---

[9]
Sm2B5: theoretical X-ray diffraction stick pattern (Cu Kα), based on the PBE geometry in Alexandria.
Kinematic intensities with the Lorentz-polarization factor, no thermal factor.

Structural model:
Lattice parameters (Å, degrees): 7.2170 7.2208 7.2530 90.00 101.76 90.00
Space group P2_1/c (No. 14)
Unique sites:
Sm: 0.2350 0.1910 0.1332 [4 per cell]
Sm: 0.2406 0.6838 0.2579 [4 per cell]
B: 0.0793 0.5055 0.9324 [4 per cell]
B: 0.3168 0.5015 0.9638 [4 per cell]
B: 0.4970 0.5385 0.8270 [4 per cell]
B: 0.4981 0.1726 0.4603 [4 per cell]
B: 0.4990 0.5901 0.5902 [4 per cell]

Peak list (8 most intense, 2θ = 10–90°, low angle first)
| 2θ/deg | I_rel | (hkl) |
| --- | --- | --- |
| 24.66 | 50.2 | 0 2 0 |
| 25.21 | 100.0 | 2 0 0 |
| 27.72 | 70.6 | 0 2 1 |
| 28.00 | 45.4 | 0 1 2 |
| 34.28 | 35.5 | 2 1 -2 |
| 35.53 | 67.5 | 2 2 0 |
| 35.96 | 53.6 | 2 2 -1 |
| 52.31 | 37.9 | 0 4 1 |

---

[10]
Mg2Rh: theoretical X-ray diffraction stick pattern (Cu Kα), based on the PBE geometry in Alexandria.
Kinematic intensities with the Lorentz-polarization factor, no thermal factor.

Structural model:
Lattice parameters (Å, degrees): 3.1909 3.1909 10.2357 90.00 90.00 90.00
Space group I4/mmm (No. 139)
Unique sites:
Mg: 0.0000 0.0000 0.1430 [4 per cell]
Rh: 0.0000 0.0000 0.5000 [2 per cell]

Peak list (8 most intense, 2θ = 10–90°, low angle first)
| 2θ/deg | I_rel | (hkl) |
| --- | --- | --- |
| 17.33 | 74.0 | 0 0 2 |
| 29.32 | 49.6 | 1 0 1 |
| 38.63 | 100.0 | 1 0 3 |
| 39.96 | 48.5 | 1 1 0 |
| 43.85 | 26.6 | 1 1 2 |
| 53.16 | 23.0 | 1 0 5 |
| 57.79 | 16.0 | 2 0 0 |
| 71.69 | 30.6 | 2 1 3 |

---

[11]
PmThNi4: theoretical X-ray diffraction stick pattern (Cu Kα), based on the PBE geometry in Alexandria.
Kinematic intensities with the Lorentz-polarization factor, no thermal factor.

Structural model:
Lattice parameters (Å, degrees): 4.0666 7.0643 7.6613 90.00 90.00 90.00
Space group Immm (No. 71)
Unique sites:
Pm: 0.0000 0.0000 0.0000 [2 per cell]
Th: 0.0000 0.0000 0.5000 [2 per cell]
Ni: 0.0000 0.3337 0.2458 [8 per cell]

Peak list (8 most intense, 2θ = 10–90°, low angle first)
| 2θ/deg | I_rel | (hkl) |
| --- | --- | --- |
| 25.25 | 25.0 | 0 2 0 |
| 34.57 | 100.0 | 1 1 2 |
| 44.46 | 26.2 | 1 3 0 |
| 44.56 | 13.0 | 2 0 0 |
| 47.47 | 10.7 | 0 0 4 |
| 57.57 | 15.2 | 2 2 2 |
| 67.09 | 22.3 | 2 0 4 |
| 75.46 | 13.6 | 2 4 2 |